Structure and computed PXRD pattern of LiVPO4 (a DFT-relaxed cell (GGA+U, Alexandria); CuKα).
Intensities are scaled so that the largest is 100.

Cell and atoms:
a b c (Å): 8.422 8.422 8.422
angles (deg): 34.50 34.50 34.50
Element x y z (fractional)
Li1 0.218 0.218 0.218
Li2 0.782 0.782 0.782
V1 0.340 0.340 0.340
V2 0.660 0.660 0.660
P1 0.077 0.077 0.077
P2 0.923 0.923 0.923
O1 0.027 0.365 0.771
O2 0.140 0.140 0.140
O3 0.229 0.973 0.635
O4 0.365 0.771 0.027
O5 0.635 0.229 0.973
O6 0.771 0.027 0.365
O7 0.860 0.860 0.860
O8 0.973 0.635 0.229

Main lines, by intensity (10° ≤ 2θ ≤ 80°):
2θ 11.18, I = 100.0; 2θ 25.48, I = 26.9; 2θ 35.96, I = 25.8; 2θ 27.90, I = 17.0; 2θ 33.58, I = 16.0; 2θ 37.77, I = 12.2